For LiLaSO, a DFT-relaxed cell (GGA-PBE, the Materials Project) gives the computed powder diffraction line list in this record (a wavelength of 1.5418 Å).

Atomic structure:
```
data_LiLaSO
_chemical_formula_sum 'Li2 La2 S2 O2'
_cell_length_a 4.021
_cell_length_b 4.021
_cell_length_c 8.772
_cell_angle_alpha 90.00
_cell_angle_beta 90.00
_cell_angle_gamma 90.00
_symmetry_space_group_name_H-M 'P 4/n m m'
_symmetry_Int_Tables_number 129
loop_
_symmetry_equiv_pos_as_xyz
'x,y,z'
'-x,-y,-z'
'-y+1/2,x,z'
'y+1/2,-x,-z'
'-x+1/2,-y+1/2,z'
'x+1/2,y+1/2,-z'
'y,-x+1/2,z'
'-y,x+1/2,-z'
'x+1/2,-y,-z'
'-x+1/2,y,z'
'-y,-x,-z'
'y,x,z'
'-x,y+1/2,-z'
'x,-y+1/2,z'
'y+1/2,x+1/2,-z'
'-y+1/2,-x+1/2,z'
loop_
_atom_site_label
_atom_site_type_symbol
_atom_site_fract_x
_atom_site_fract_y
_atom_site_fract_z
Li1 Li 0.250 0.750 0.000
La1 La 0.250 0.250 0.358
S1 S 0.250 0.250 0.839
O1 O 0.250 0.750 0.500
```

Most intense lines, 2θ from 10° to 90°, sorted by position:
Position (°2θ)  intensity  hkl
10.08  72  0 0 1
24.35  37  1 0 1
30.15  100  1 0 2
31.46  36  1 1 0
33.12  9  1 1 1
44.44  13  1 1 3
45.09  22  2 0 0
51.90  10  2 1 1
52.71  20  1 1 4
55.20  35  2 1 2